[1]
Starting from a GGA-PBE-relaxed structure, the powder diffractogram of RbHoHS2O9 was calculated for a wavelength of 1.5418 Å.
Peak positions follow from Bragg's law for the DFT cell and can differ from measured ones.

The 6 most intense peaks (2θ from 5° to 70°), by angle:
2θ/deg, I/Imax
14.30, 83
14.45, 52
19.79, 41
27.18, 94
27.86, 57
28.61, 100

Structural model:
```
data_RbHoHS2O9
_cell_length_a 10.2653
_cell_length_b 8.3856
_cell_length_c 10.5110
_cell_angle_alpha 90.00
_cell_angle_beta 119.01
_cell_angle_gamma 90.00
_symmetry_space_group_name_H-M 'P 1 21/c 1'
_symmetry_Int_Tables_number 14
loop_
_symmetry_equiv_pos_as_xyz
'x,y,z'
'-x,-y,-z'
'-x,y+1/2,-z+1/2'
'x,-y+1/2,z+1/2'
loop_
_atom_site_label
_atom_site_type_symbol
_atom_site_fract_x
_atom_site_fract_y
_atom_site_fract_z
Rb1 Rb 0.2138 0.1567 0.1801
Ho1 Ho 0.2575 0.6429 0.0373
H1 H 0.3221 0.5327 0.4617
S1 S 0.0572 0.6359 0.1810
S2 S 0.5000 0.2014 0.6030
O1 O 0.0701 0.7425 0.5824
O2 O 0.0796 0.7145 0.3174
O3 O 0.0943 0.0639 0.3909
O4 O 0.1736 0.5147 0.2089
O5 O 0.3131 0.5942 0.5366
O6 O 0.3702 0.6165 0.8938
O7 O 0.3997 0.0860 0.6203
O8 O 0.4165 0.2104 0.9658
O9 O 0.4438 0.6874 0.2707
```

***

[2]
Starting from a GGA-PBE-relaxed structure, the powder diffractogram of InH3I2O8 was calculated for a wavelength of 1.5418 Å.
Peak positions follow from Bragg's law for the DFT cell and can differ from measured ones.

The 6 most intense peaks (2θ from 5° to 70°), by angle:
2θ/deg, I/Imax
12.06, 86
24.26, 85
25.76, 99
28.10, 100
28.44, 68
28.66, 78

Structural model:
```
data_InH3I2O8
_cell_length_a 6.9673
_cell_length_b 7.8089
_cell_length_c 7.9124
_cell_angle_alpha 99.51
_cell_angle_beta 109.22
_cell_angle_gamma 92.03
_symmetry_space_group_name_H-M 'P -1'
_symmetry_Int_Tables_number 2
loop_
_symmetry_equiv_pos_as_xyz
'x,y,z'
'-x,-y,-z'
loop_
_atom_site_label
_atom_site_type_symbol
_atom_site_fract_x
_atom_site_fract_y
_atom_site_fract_z
In1 In 0.0000 0.0000 0.0000
In2 In 0.0000 0.5000 0.0000
H1 H 0.0151 0.2916 0.2338
H2 H 0.1502 0.4281 0.5505
H3 H 0.2045 0.2412 0.5024
I1 I 0.2901 0.8284 0.4196
I2 I 0.4681 0.2610 0.0276
O1 O 0.0373 0.7333 0.9024
O2 O 0.0899 0.3137 0.4760
O3 O 0.1300 0.9728 0.2836
O4 O 0.1881 0.6126 0.2787
O5 O 0.2832 0.4209 0.9455
O6 O 0.2948 0.0583 0.9684
O7 O 0.4709 0.6848 0.7289
O8 O 0.4752 0.1458 0.6342
```

***

[3]
Starting from a GGA-PBE-relaxed structure, the powder diffractogram of K2MgH4I4O14 was calculated for a wavelength of 1.5418 Å.
Peak positions follow from Bragg's law for the DFT cell and can differ from measured ones.

The 6 most intense peaks (2θ from 5° to 70°), by angle:
2θ/deg, I/Imax
15.87, 76
21.72, 52
26.43, 62
26.76, 54
27.02, 100
30.54, 52

Structural model:
```
data_K2MgH4I4O14
_cell_length_a 13.8799
_cell_length_b 8.1820
_cell_length_c 8.3791
_cell_angle_alpha 90.00
_cell_angle_beta 126.41
_cell_angle_gamma 90.00
_symmetry_space_group_name_H-M 'C 1 2 1'
_symmetry_Int_Tables_number 5
loop_
_symmetry_equiv_pos_as_xyz
'x,y,z'
'-x,y,-z'
'x+1/2,y+1/2,z'
'-x+1/2,y+1/2,-z'
loop_
_atom_site_label
_atom_site_type_symbol
_atom_site_fract_x
_atom_site_fract_y
_atom_site_fract_z
K1 K 0.0000 0.0000 0.0000
K2 K 0.0000 0.4788 0.0000
Mg1 Mg 0.0000 0.9255 0.5000
H1 H 0.0424 0.2430 0.4614
H2 H 0.0464 0.6076 0.6248
I1 I 0.2215 0.7583 0.4823
I2 I 0.2343 0.7463 0.9796
O1 O 0.0000 0.1738 0.5000
O2 O 0.0000 0.6741 0.5000
O3 O 0.1213 0.9024 0.8205
O4 O 0.1325 0.3498 0.4143
O5 O 0.1395 0.5632 0.8648
O6 O 0.1409 0.9426 0.4714
O7 O 0.1552 0.7462 0.2168
O8 O 0.1791 0.2343 0.1210
```

***

[4]
Starting from a GGA-PBE-relaxed structure, the powder diffractogram of K2NaH10IO10 was calculated for a wavelength of 1.5418 Å.
Peak positions follow from Bragg's law for the DFT cell and can differ from measured ones.

The 6 most intense peaks (2θ from 5° to 70°), by angle:
2θ/deg, I/Imax
13.72, 93
16.11, 36
17.40, 100
18.39, 36
26.25, 36
29.58, 35

Structural model:
```
data_K2NaH10IO10
_cell_length_a 6.8035
_cell_length_b 7.3999
_cell_length_c 10.8348
_cell_angle_alpha 98.30
_cell_angle_beta 107.42
_cell_angle_gamma 93.11
_symmetry_space_group_name_H-M 'P -1'
_symmetry_Int_Tables_number 2
loop_
_symmetry_equiv_pos_as_xyz
'x,y,z'
'-x,-y,-z'
loop_
_atom_site_label
_atom_site_type_symbol
_atom_site_fract_x
_atom_site_fract_y
_atom_site_fract_z
K1 K 0.0685 0.3097 0.1477
K2 K 0.1181 0.3451 0.6244
Na1 Na 0.2838 0.8154 0.2360
H1 H 0.0800 0.1030 0.3803
H2 H 0.1589 0.1427 0.8611
H3 H 0.1780 0.3563 0.9187
H4 H 0.3050 0.0152 0.5747
H5 H 0.3190 0.1198 0.3932
H6 H 0.3500 0.6209 0.9908
H7 H 0.3523 0.0217 0.0405
H8 H 0.3641 0.6496 0.4717
H9 H 0.3891 0.4841 0.3699
H10 H 0.4287 0.5105 0.1084
I1 I 0.3607 0.8185 0.7544
O1 O 0.0803 0.2556 0.8606
O2 O 0.0969 0.7373 0.6396
O3 O 0.2083 0.0377 0.4072
O4 O 0.2592 0.9499 0.8795
O5 O 0.3096 0.5932 0.3769
O6 O 0.3114 0.5809 0.0655
O7 O 0.3534 0.0724 0.1329
O8 O 0.3591 0.0486 0.6729
O9 O 0.3745 0.6091 0.8344
O10 O 0.4992 0.2811 0.3626
```

***

[5]
Starting from a GGA-PBE-relaxed structure, the powder diffractogram of K4Na2H18PdI2O20 was calculated for a wavelength of 1.5418 Å.
Peak positions follow from Bragg's law for the DFT cell and can differ from measured ones.

The 6 most intense peaks (2θ from 5° to 70°), by angle:
2θ/deg, I/Imax
13.88, 78
14.16, 100
17.29, 85
18.86, 41
28.67, 38
30.79, 73

Structural model:
```
data_K4Na2H18PdI2O20
_cell_length_a 6.8411
_cell_length_b 7.3116
_cell_length_c 10.9759
_cell_angle_alpha 93.86
_cell_angle_beta 104.55
_cell_angle_gamma 94.28
_symmetry_space_group_name_H-M 'P -1'
_symmetry_Int_Tables_number 2
loop_
_symmetry_equiv_pos_as_xyz
'x,y,z'
'-x,-y,-z'
loop_
_atom_site_label
_atom_site_type_symbol
_atom_site_fract_x
_atom_site_fract_y
_atom_site_fract_z
K1 K 0.0854 0.3184 0.1392
K2 K 0.0996 0.3311 0.6160
Na1 Na 0.2937 0.8314 0.2328
H1 H 0.0918 0.1114 0.3796
H2 H 0.1448 0.1391 0.8632
H3 H 0.1769 0.3572 0.8790
H4 H 0.3074 0.0122 0.5678
H5 H 0.3294 0.1303 0.3911
H6 H 0.3483 0.6154 0.9960
H7 H 0.3613 0.6459 0.4647
H8 H 0.3886 0.4906 0.3665
H9 H 0.4538 0.5341 0.1233
Pd1 Pd 0.5000 0.0000 0.0000
I1 I 0.3437 0.7940 0.7405
O1 O 0.0721 0.2529 0.8659
O2 O 0.0835 0.7321 0.6376
O3 O 0.2153 0.0413 0.3992
O4 O 0.2360 0.9280 0.8677
O5 O 0.3101 0.5989 0.3736
O6 O 0.3321 0.5976 0.0820
O7 O 0.3375 0.5757 0.8227
O8 O 0.3552 0.0382 0.6618
O9 O 0.3973 0.1056 0.1447
O10 O 0.4819 0.7003 0.6258
```